Entry 1:
Sm2Hg3Rh: computed X-ray powder pattern (Cu Kα (weighted mean of Kα1 and Kα2)), based on the PBE geometry in Alexandria.

The 12 most intense peaks (2θ = 5–70°), low angle first:
| 2θ/deg | I/Imax |
| --- | --- |
| 25.16 | 19.2 |
| 32.94 | 100.0 |
| 33.10 | 44.3 |
| 36.52 | 45.4 |
| 36.95 | 73.9 |
| 45.23 | 24.4 |
| 50.11 | 27.9 |
| 51.64 | 17.0 |
| 63.49 | 15.3 |
| 64.90 | 17.2 |
| 65.18 | 28.5 |
| 66.02 | 13.8 |

Lattice parameters (Å, degrees): 3.540 4.920 8.396 90.00 90.00 90.00
Fractional positions:
Sm: 0.000 0.000 0.000
Sm: 0.000 0.500 0.425
Hg: 0.500 0.000 0.605
Hg: 0.500 0.500 0.118
Hg: 0.500 0.500 0.779
Rh: 0.500 0.000 0.274



Entry 2:
SrHgRh: computed X-ray powder pattern (Cu Kα (weighted mean of Kα1 and Kα2)), based on the PBE geometry in Alexandria.

The 12 most intense peaks (2θ = 5–70°), low angle first:
| 2θ/deg | I/Imax |
| --- | --- |
| 19.54 | 60.3 |
| 25.73 | 23.3 |
| 27.33 | 50.4 |
| 31.56 | 17.0 |
| 32.52 | 100.0 |
| 37.18 | 21.8 |
| 38.37 | 24.9 |
| 39.69 | 33.3 |
| 42.34 | 29.2 |
| 43.42 | 34.5 |
| 56.39 | 16.2 |
| 67.06 | 14.3 |

Lattice parameters (Å, degrees): 4.958 4.542 7.658 90.00 108.68 90.00
Fractional positions:
Sr: 0.125 0.000 0.252
Sr: 0.875 0.000 0.748
Hg: 0.323 0.500 0.644
Hg: 0.677 0.500 0.356
Rh: 0.248 0.500 0.001
Rh: 0.752 0.500 0.999



Entry 3:
Sr2Tl6HgRh: computed X-ray powder pattern (Cu Kα (weighted mean of Kα1 and Kα2)), based on the PBE geometry in Alexandria.

The 12 most intense peaks (2θ = 5–70°), low angle first:
| 2θ/deg | I/Imax |
| --- | --- |
| 13.78 | 19.4 |
| 17.90 | 41.1 |
| 27.54 | 20.2 |
| 29.80 | 55.4 |
| 32.00 | 100.0 |
| 33.53 | 20.9 |
| 36.76 | 47.6 |
| 37.04 | 18.5 |
| 37.90 | 23.5 |
| 43.31 | 20.4 |
| 46.99 | 21.4 |
| 48.33 | 47.8 |

Lattice parameters (Å, degrees): 13.420 13.420 13.420 32.59 32.59 32.59
Fractional positions:
Sr: 0.102 0.102 0.102
Sr: 0.280 0.280 0.280
Sr: 0.720 0.720 0.720
Sr: 0.898 0.898 0.898
Tl: 0.083 0.662 0.662
Tl: 0.219 0.219 0.655
Tl: 0.219 0.655 0.219
Tl: 0.338 0.338 0.917
Tl: 0.338 0.917 0.338
Tl: 0.345 0.781 0.781
Tl: 0.655 0.219 0.219
Tl: 0.662 0.083 0.662
Tl: 0.662 0.662 0.083
Tl: 0.781 0.345 0.781
Tl: 0.781 0.781 0.345
Tl: 0.917 0.338 0.338
Hg: 0.426 0.426 0.426
Hg: 0.574 0.574 0.574
Rh: 0.000 0.000 0.000
Rh: 0.500 0.500 0.500



Entry 4:
TaHgRh: computed X-ray powder pattern (Cu Kα (weighted mean of Kα1 and Kα2)), based on the PBE geometry in Alexandria.

The 12 most intense peaks (2θ = 5–70°), low angle first:
| 2θ/deg | I/Imax |
| --- | --- |
| 20.36 | 4.0 |
| 24.47 | 11.5 |
| 31.95 | 6.1 |
| 37.82 | 100.0 |
| 38.25 | 95.8 |
| 41.40 | 2.9 |
| 43.65 | 66.3 |
| 45.32 | 30.1 |
| 57.31 | 4.6 |
| 62.83 | 11.4 |
| 64.03 | 10.3 |
| 64.73 | 41.3 |

Lattice parameters (Å, degrees): 5.022 5.022 5.022 145.75 133.04 59.40
Fractional positions:
Ta: 0.000 0.000 0.000
Hg: 0.325 0.325 0.000
Rh: 0.652 0.652 0.000



Entry 5:
Tb3HgRh: computed X-ray powder pattern (Cu Kα (weighted mean of Kα1 and Kα2)), based on the PBE geometry in Alexandria.

The 12 most intense peaks (2θ = 5–70°), low angle first:
| 2θ/deg | I/Imax |
| --- | --- |
| 28.13 | 27.3 |
| 28.60 | 29.4 |
| 32.37 | 24.0 |
| 32.71 | 100.0 |
| 32.88 | 97.9 |
| 33.01 | 36.4 |
| 33.86 | 71.9 |
| 35.27 | 55.1 |
| 36.45 | 44.9 |
| 38.00 | 34.6 |
| 58.24 | 28.8 |
| 60.90 | 23.7 |

Lattice parameters (Å, degrees): 5.556 6.254 8.679 101.06 99.71 114.80
Fractional positions:
Tb: 0.049 0.186 0.285
Tb: 0.289 0.445 0.732
Tb: 0.302 0.804 0.109
Tb: 0.698 0.196 0.891
Tb: 0.711 0.555 0.268
Tb: 0.951 0.814 0.715
Hg: 0.344 0.746 0.482
Hg: 0.656 0.254 0.518
Rh: 0.244 0.242 0.996
Rh: 0.756 0.758 0.004



Entry 6:
Tb6HgRh5: computed X-ray powder pattern (Cu Kα (weighted mean of Kα1 and Kα2)), based on the PBE geometry in Alexandria.

The 12 most intense peaks (2θ = 5–70°), low angle first:
| 2θ/deg | I/Imax |
| --- | --- |
| 22.90 | 1.4 |
| 25.20 | 1.0 |
| 25.69 | 1.9 |
| 28.67 | 1.2 |
| 36.30 | 100.0 |
| 36.65 | 48.8 |
| 51.75 | 8.9 |
| 52.74 | 8.5 |
| 52.85 | 8.5 |
| 65.07 | 17.7 |
| 65.73 | 25.9 |
| 65.83 | 8.7 |

Lattice parameters (Å, degrees): 4.900 7.067 7.756 90.00 108.31 90.00
Fractional positions:
Tb: 0.000 0.237 0.000
Tb: 0.000 0.763 0.000
Tb: 0.328 0.246 0.657
Tb: 0.328 0.754 0.657
Tb: 0.672 0.246 0.343
Tb: 0.672 0.754 0.343
Hg: 0.500 0.500 0.000
Rh: 0.166 0.500 0.331
Rh: 0.167 0.000 0.335
Rh: 0.500 0.000 0.000
Rh: 0.833 0.000 0.665
Rh: 0.834 0.500 0.669



Entry 7:
Tb7Hg2Rh2: computed X-ray powder pattern (Cu Kα (weighted mean of Kα1 and Kα2)), based on the PBE geometry in Alexandria.

The 12 most intense peaks (2θ = 5–70°), low angle first:
| 2θ/deg | I/Imax |
| --- | --- |
| 20.42 | 25.3 |
| 25.56 | 38.2 |
| 27.67 | 30.4 |
| 28.52 | 45.3 |
| 29.83 | 28.1 |
| 32.72 | 61.5 |
| 36.95 | 56.6 |
| 37.55 | 100.0 |
| 41.99 | 18.7 |
| 43.99 | 19.0 |
| 51.04 | 19.8 |
| 61.96 | 19.7 |

Lattice parameters (Å, degrees): 6.773 6.773 7.158 90.00 90.00 107.83
Fractional positions:
Tb: 0.000 0.000 0.000
Tb: 0.000 0.500 0.252
Tb: 0.000 0.500 0.748
Tb: 0.500 0.000 0.252
Tb: 0.500 0.000 0.748
Tb: 0.500 0.500 0.246
Tb: 0.500 0.500 0.754
Hg: 0.184 0.184 0.500
Hg: 0.816 0.816 0.500
Rh: 0.290 0.710 0.000
Rh: 0.710 0.290 0.000



Entry 8:
Tb3Hg3Rh2: computed X-ray powder pattern (Cu Kα (weighted mean of Kα1 and Kα2)), based on the PBE geometry in Alexandria.

The 12 most intense peaks (2θ = 5–70°), low angle first:
| 2θ/deg | I/Imax |
| --- | --- |
| 24.59 | 8.8 |
| 28.11 | 20.2 |
| 34.14 | 95.3 |
| 35.96 | 100.0 |
| 36.83 | 63.9 |
| 40.98 | 11.8 |
| 44.05 | 24.3 |
| 49.76 | 8.0 |
| 50.41 | 18.4 |
| 56.27 | 27.8 |
| 63.47 | 38.9 |
| 66.92 | 27.8 |

Lattice parameters (Å, degrees): 7.629 7.629 3.620 90.00 90.00 120.00
Fractional positions:
Tb: 0.000 0.420 0.000
Tb: 0.420 0.000 0.000
Tb: 0.580 0.580 0.000
Hg: 0.000 0.764 0.500
Hg: 0.236 0.236 0.500
Hg: 0.764 0.000 0.500
Rh: 0.333 0.667 0.500
Rh: 0.667 0.333 0.500



Entry 9:
Tb5HgRh: computed X-ray powder pattern (Cu Kα (weighted mean of Kα1 and Kα2)), based on the PBE geometry in Alexandria.

The 12 most intense peaks (2θ = 5–70°), low angle first:
| 2θ/deg | I/Imax |
| --- | --- |
| 28.37 | 25.5 |
| 28.88 | 14.5 |
| 30.38 | 60.5 |
| 31.06 | 64.6 |
| 31.20 | 57.6 |
| 31.43 | 50.2 |
| 32.29 | 100.0 |
| 33.89 | 52.5 |
| 38.05 | 24.9 |
| 39.46 | 22.9 |
| 39.97 | 27.9 |
| 53.40 | 18.4 |

Lattice parameters (Å, degrees): 5.943 5.943 11.863 102.20 102.20 76.44
Fractional positions:
Tb: 0.010 0.990 0.750
Tb: 0.081 0.420 0.126
Tb: 0.213 0.543 0.435
Tb: 0.420 0.081 0.626
Tb: 0.457 0.787 0.065
Tb: 0.543 0.213 0.935
Tb: 0.580 0.919 0.374
Tb: 0.787 0.457 0.565
Tb: 0.919 0.580 0.874
Tb: 0.990 0.010 0.250
Hg: 0.418 0.582 0.750
Hg: 0.582 0.418 0.250
Rh: 0.000 0.000 0.000
Rh: 0.000 0.000 0.500



Entry 10:
Th2HgRh3: computed X-ray powder pattern (Cu Kα (weighted mean of Kα1 and Kα2)), based on the PBE geometry in Alexandria.

The 12 most intense peaks (2θ = 5–70°), low angle first:
| 2θ/deg | I/Imax |
| --- | --- |
| 22.42 | 18.6 |
| 23.43 | 13.7 |
| 27.12 | 12.4 |
| 29.61 | 26.1 |
| 33.37 | 6.8 |
| 35.46 | 14.9 |
| 38.73 | 100.0 |
| 43.52 | 6.3 |
| 49.49 | 9.5 |
| 53.52 | 18.8 |
| 55.93 | 13.4 |
| 57.34 | 11.3 |

Lattice parameters (Å, degrees): 9.300 9.300 9.300 60.00 60.00 60.00
Fractional positions:
Th: 0.190 0.770 0.770
Th: 0.230 0.230 0.230
Th: 0.230 0.230 0.810
Th: 0.230 0.810 0.230
Th: 0.770 0.190 0.770
Th: 0.770 0.770 0.190
Th: 0.770 0.770 0.770
Th: 0.810 0.230 0.230
Hg: 0.000 0.500 0.500
Hg: 0.500 0.000 0.500
Hg: 0.500 0.500 0.000
Hg: 0.500 0.500 0.500
Rh: 0.127 0.127 0.623
Rh: 0.127 0.623 0.127
Rh: 0.127 0.623 0.623
Rh: 0.377 0.377 0.873
Rh: 0.377 0.873 0.377
Rh: 0.377 0.873 0.873
Rh: 0.623 0.127 0.127
Rh: 0.623 0.127 0.623
Rh: 0.623 0.623 0.127
Rh: 0.873 0.377 0.377
Rh: 0.873 0.377 0.873
Rh: 0.873 0.873 0.377



Entry 11:
Th4Hg5Rh2: computed X-ray powder pattern (Cu Kα (weighted mean of Kα1 and Kα2)), based on the PBE geometry in Alexandria.

The 12 most intense peaks (2θ = 5–70°), low angle first:
| 2θ/deg | I/Imax |
| --- | --- |
| 30.93 | 53.6 |
| 31.83 | 88.9 |
| 32.91 | 100.0 |
| 33.02 | 91.4 |
| 34.12 | 64.9 |
| 34.61 | 62.2 |
| 34.85 | 34.7 |
| 36.91 | 45.3 |
| 37.13 | 42.7 |
| 48.69 | 45.2 |
| 60.79 | 25.4 |
| 63.09 | 25.7 |

Lattice parameters (Å, degrees): 7.909 3.740 9.656 90.00 94.63 90.00
Fractional positions:
Th: 0.189 0.000 0.348
Th: 0.219 0.000 0.934
Th: 0.781 0.000 0.066
Th: 0.811 0.000 0.652
Hg: 0.157 0.500 0.637
Hg: 0.462 0.500 0.169
Hg: 0.500 0.500 0.500
Hg: 0.538 0.500 0.831
Hg: 0.843 0.500 0.363
Rh: 0.083 0.500 0.139
Rh: 0.917 0.500 0.861



Entry 12:
Th6Hg3Rh: computed X-ray powder pattern (Cu Kα (weighted mean of Kα1 and Kα2)), based on the PBE geometry in Alexandria.

The 12 most intense peaks (2θ = 5–70°), low angle first:
| 2θ/deg | I/Imax |
| --- | --- |
| 27.64 | 22.1 |
| 32.29 | 100.0 |
| 32.94 | 8.2 |
| 33.07 | 13.5 |
| 33.20 | 5.4 |
| 43.63 | 13.6 |
| 48.89 | 24.1 |
| 58.58 | 6.4 |
| 59.81 | 15.3 |
| 60.30 | 12.9 |
| 61.90 | 6.4 |
| 67.56 | 4.1 |

Lattice parameters (Å, degrees): 8.426 8.426 8.426 83.11 83.11 83.11
Fractional positions:
Th: 0.118 0.778 0.778
Th: 0.172 0.516 0.516
Th: 0.222 0.222 0.882
Th: 0.222 0.882 0.222
Th: 0.484 0.484 0.828
Th: 0.484 0.828 0.484
Th: 0.516 0.172 0.516
Th: 0.516 0.516 0.172
Th: 0.778 0.118 0.778
Th: 0.778 0.778 0.118
Th: 0.828 0.484 0.484
Th: 0.882 0.222 0.222
Hg: 0.129 0.129 0.511
Hg: 0.129 0.511 0.129
Hg: 0.489 0.871 0.871
Hg: 0.511 0.129 0.129
Hg: 0.871 0.489 0.871
Hg: 0.871 0.871 0.489
Rh: 0.000 0.000 0.000
Rh: 0.500 0.500 0.500